1.
Diffraction record for Ba2SbIrO6. The X-ray powder pattern is simulated, not measured: it uses DFT lattice parameters and positions (PBE) and Cu Kα (weighted mean of Kα1 and Kα2).
Peak positions follow from Bragg's law for the DFT cell and can differ from measured ones.

Structure:
Cell lengths 5.866, 5.866, 8.286 Å; angles 90.00, 90.00, 90.00 degrees
Space group I4/m (No. 87)
One atom of each set of equivalent atoms:
Ba 0.000 0.500 0.250 (multiplicity 4)
Sb 0.000 0.000 0.000 (multiplicity 2)
Ir 0.000 0.000 0.500 (multiplicity 2)
O 0.000 0.000 0.247 (multiplicity 4)
O 0.247 0.248 0.000 (multiplicity 8)

Largest 10 diffraction maxima, by angle, 10 to 90 degrees two-theta:
hkl 1 0 1, 18.5°, I = 3; hkl 1 1 0, 21.4°, I = 3; hkl 2 0 0, 30.5°, I = 100; hkl 2 1 1, 35.9°, I = 2; hkl 2 2 0, 43.7°, I = 28; hkl 3 1 2, 54.2°, I = 40; hkl 4 0 0, 63.5°, I = 18; hkl 4 2 0, 72.0°, I = 18; hkl 4 0 4, 80.2°, I = 6; hkl 5 1 2, 88.2°, I = 22

---

2.
Diffraction record for Bi3S3O. The X-ray powder pattern is simulated, not measured: it uses DFT lattice parameters and positions (PBE) and Cu Kα (weighted mean of Kα1 and Kα2).
Peak positions follow from Bragg's law for the DFT cell and can differ from measured ones.

Structure:
Cell lengths 10.318, 12.205, 5.681 Å; angles 90.00, 90.00, 90.00 degrees
Space group Cmcm (No. 63)
One atom of each set of equivalent atoms:
Bi 0.000 0.120 0.250 (multiplicity 4)
Bi 0.207 0.368 0.250 (multiplicity 8)
S 0.000 0.115 0.750 (multiplicity 4)
S 0.223 0.398 0.750 (multiplicity 8)
O 0.000 0.312 0.250 (multiplicity 4)

Largest 10 diffraction maxima, by angle, 10 to 90 degrees two-theta:
hkl 1 1 1, 19.3°, I = 50; hkl 3 1 0, 26.9°, I = 42; hkl 2 2 1, 27.6°, I = 100; hkl 0 4 0, 29.3°, I = 52; hkl 0 0 2, 31.5°, I = 48; hkl 3 3 0, 34.1°, I = 25; hkl 3 1 2, 41.9°, I = 26; hkl 0 4 2, 43.5°, I = 36; hkl 5 1 1, 47.5°, I = 21; hkl 2 6 1, 50.9°, I = 23

---

3.
Diffraction record for TiAlZnGa. The X-ray powder pattern is simulated, not measured: it uses DFT lattice parameters and positions (PBE) and Cu Kα (weighted mean of Kα1 and Kα2).
Peak positions follow from Bragg's law for the DFT cell and can differ from measured ones.

Structure:
Cell lengths 3.884, 3.944, 3.982 Å; angles 90.00, 90.00, 90.00 degrees
Space group Pmmm (No. 47)
One atom of each set of equivalent atoms:
Ti 0.000 0.000 0.000 (multiplicity 1)
Al 0.500 0.000 0.500 (multiplicity 1)
Zn 0.000 0.500 0.500 (multiplicity 1)
Ga 0.500 0.500 0.000 (multiplicity 1)

Largest 10 diffraction maxima, by angle, 10 to 90 degrees two-theta:
hkl 0 1 0, 22.5°, I = 11; hkl 1 1 1, 39.7°, I = 100; hkl 0 0 2, 45.6°, I = 17; hkl 0 2 0, 46.0°, I = 16; hkl 2 0 0, 46.8°, I = 15; hkl 0 2 2, 66.8°, I = 10; hkl 1 1 3, 80.2°, I = 11; hkl 1 3 1, 80.9°, I = 11; hkl 3 1 1, 82.0°, I = 11; hkl 2 2 2, 85.4°, I = 10

---

4.
Diffraction record for Hf4ZnTc. The X-ray powder pattern is simulated, not measured: it uses DFT lattice parameters and positions (PBE) and Cu Kα (weighted mean of Kα1 and Kα2).
Peak positions follow from Bragg's law for the DFT cell and can differ from measured ones.

Structure:
Cell lengths 3.270, 3.270, 10.859 Å; angles 90.00, 90.00, 90.00 degrees
Space group P4/mmm (No. 123)
One atom of each set of equivalent atoms:
Hf 0.000 0.000 0.146 (multiplicity 2)
Hf 0.500 0.500 0.336 (multiplicity 2)
Zn 0.000 0.000 0.500 (multiplicity 1)
Tc 0.500 0.500 0.000 (multiplicity 1)

Largest 10 diffraction maxima, by angle, 10 to 90 degrees two-theta:
hkl 1 0 1, 28.5°, I = 13; hkl 1 0 3, 37.0°, I = 100; hkl 1 1 0, 38.9°, I = 46; hkl 0 0 6, 50.4°, I = 9; hkl 1 1 4, 51.9°, I = 6; hkl 2 0 0, 56.3°, I = 16; hkl 1 1 6, 65.5°, I = 16; hkl 1 0 7, 66.8°, I = 7; hkl 2 1 3, 69.3°, I = 32; hkl 2 0 6, 78.9°, I = 9

---

5.
Diffraction record for HfZrS3. The X-ray powder pattern is simulated, not measured: it uses DFT lattice parameters and positions (PBE) and Cu Kα (weighted mean of Kα1 and Kα2).
Peak positions follow from Bragg's law for the DFT cell and can differ from measured ones.

Structure:
Cell lengths 4.607, 18.943, 5.137 Å; angles 90.00, 90.00, 90.00 degrees
Space group Ama2 (No. 40)
One atom of each set of equivalent atoms:
Hf 0.250 0.092 0.000 (multiplicity 4)
Zr 0.250 0.330 0.180 (multiplicity 4)
S 0.250 0.105 0.478 (multiplicity 4)
S 0.250 0.223 0.876 (multiplicity 4)
S 0.250 0.448 0.453 (multiplicity 4)

Largest 10 diffraction maxima, by angle, 10 to 90 degrees two-theta:
hkl 0 1 1, 17.9°, I = 100; hkl 0 4 0, 18.7°, I = 49; hkl 1 2 0, 21.4°, I = 34; hkl 1 1 1, 26.4°, I = 68; hkl 1 4 0, 27.0°, I = 55; hkl 0 5 1, 29.3°, I = 37; hkl 2 0 0, 39.1°, I = 44; hkl 1 2 2, 41.4°, I = 62; hkl 1 8 0, 42.9°, I = 52; hkl 0 6 2, 45.5°, I = 40

---

6.
Diffraction record for IrRhW2. The X-ray powder pattern is simulated, not measured: it uses DFT lattice parameters and positions (PBE) and Cu Kα (weighted mean of Kα1 and Kα2).
Peak positions follow from Bragg's law for the DFT cell and can differ from measured ones.

Structure:
Cell lengths 9.143, 2.789, 4.858 Å; angles 90.00, 99.94, 90.00 degrees
Space group Cm (No. 8)
One atom of each set of equivalent atoms:
Ir 0.000 0.000 0.000 (multiplicity 2)
Rh 0.246 0.000 0.716 (multiplicity 2)
W 0.000 0.500 0.508 (multiplicity 2)
W 0.245 0.500 0.209 (multiplicity 2)

Largest 10 diffraction maxima, by angle, 10 to 90 degrees two-theta:
hkl 1 1 1, 39.5°, I = 100; hkl 4 0 0, 40.1°, I = 33; hkl 2 0 2, 45.9°, I = 21; hkl 3 1 -1, 46.2°, I = 44; hkl 1 1 -3, 66.8°, I = 13; hkl 5 1 1, 67.6°, I = 14; hkl 2 2 -2, 80.8°, I = 8; hkl 5 1 -3, 81.0°, I = 8; hkl 4 2 0, 81.1°, I = 9; hkl 7 1 -1, 81.7°, I = 9